Entry 1:
Starting from a crystal structure in Alexandria, relaxed with GGA-PBE, the PXRD pattern of LiMg6Tl2 was simulated for a wavelength of 1.5418 Å.
No peak broadening, texture or thermal motion is included.

Most intense lines, 5 to 70 degrees two-theta, by intensity:
34.5°, rel. 1000
22.8°, rel. 549
19.5°, rel. 365
23.6°, rel. 270
18.0°, rel. 241
21.9°, rel. 209
35.1°, rel. 187
25.2°, rel. 187
40.1°, rel. 167
39.9°, rel. 166

Structure:
```
LiMg6Tl2
1.0
5.040 -2.241 0.000
5.040 2.241 0.000
-2.991 0.000 9.084
Li Mg Tl
1 6 2
Direct
0.000 0.000 0.000 Li
0.002 0.002 0.667 Mg
0.332 0.332 0.110 Mg
0.334 0.334 0.445 Mg
0.666 0.666 0.555 Mg
0.668 0.668 0.890 Mg
0.998 0.998 0.333 Mg
0.338 0.338 0.783 Tl
0.662 0.662 0.217 Tl
```



Entry 2:
Starting from a crystal structure in Alexandria, relaxed with GGA-PBE, the PXRD pattern of Li5Mg5Tl2 was simulated for a wavelength of 1.5418 Å.
No peak broadening, texture or thermal motion is included.

Most intense lines, 5 to 70 degrees two-theta, by intensity:
22.5°, rel. 1000
7.4°, rel. 652
36.9°, rel. 648
25.9°, rel. 584
37.2°, rel. 555
21.2°, rel. 345
22.2°, rel. 282
26.0°, rel. 251
14.8°, rel. 248
43.9°, rel. 227

Structure:
```
Li5Mg5Tl2
1.0
4.183 -2.421 0.000
4.183 2.421 0.000
-0.043 0.000 11.991
Li Mg Tl
5 5 2
Direct
0.000 0.000 0.000 Li
0.001 0.001 0.757 Li
0.333 0.333 0.415 Li
0.667 0.667 0.585 Li
0.999 0.999 0.243 Li
0.000 0.000 0.500 Mg
0.334 0.334 0.661 Mg
0.334 0.334 0.921 Mg
0.666 0.666 0.079 Mg
0.666 0.666 0.339 Mg
0.333 0.333 0.177 Tl
0.667 0.667 0.823 Tl
```



Entry 3:
Starting from a crystal structure in Alexandria, relaxed with GGA-PBE, the PXRD pattern of Li9Mg4Tl was simulated for a wavelength of 1.5418 Å.
No peak broadening, texture or thermal motion is included.

Most intense lines, 5 to 70 degrees two-theta, by intensity:
14.9°, rel. 1000
25.4°, rel. 515
36.7°, rel. 493
20.5°, rel. 423
30.1°, rel. 271
27.6°, rel. 261
32.9°, rel. 241
44.5°, rel. 234
18.3°, rel. 232
52.2°, rel. 173

Structure:
```
Li9Mg4Tl
1.0
8.680 0.000 0.000
-4.340 7.517 0.000
0.000 0.000 9.678
Li Mg Tl
18 8 2
Direct
0.068 0.534 0.250 Li
0.206 0.412 0.537 Li
0.206 0.412 0.963 Li
0.206 0.794 0.537 Li
0.206 0.794 0.963 Li
0.412 0.206 0.037 Li
0.412 0.206 0.463 Li
0.466 0.534 0.250 Li
0.466 0.932 0.250 Li
0.534 0.068 0.750 Li
0.534 0.466 0.750 Li
0.588 0.794 0.537 Li
0.588 0.794 0.963 Li
0.794 0.206 0.037 Li
0.794 0.206 0.463 Li
0.794 0.588 0.037 Li
0.794 0.588 0.463 Li
0.932 0.466 0.750 Li
0.000 0.000 0.000 Mg
0.000 0.000 0.500 Mg
0.117 0.234 0.250 Mg
0.117 0.883 0.250 Mg
0.234 0.117 0.750 Mg
0.766 0.883 0.250 Mg
0.883 0.117 0.750 Mg
0.883 0.766 0.750 Mg
0.333 0.667 0.750 Tl
0.667 0.333 0.250 Tl
```



Entry 4:
Starting from a crystal structure in Alexandria, relaxed with GGA-PBE, the PXRD pattern of Li8Mg5Tl was simulated for a wavelength of 1.5418 Å.
No peak broadening, texture or thermal motion is included.

Most intense lines, 5 to 70 degrees two-theta, by intensity:
26.0°, rel. 1000
14.8°, rel. 892
15.0°, rel. 663
25.7°, rel. 545
33.9°, rel. 503
40.1°, rel. 323
39.7°, rel. 307
21.3°, rel. 275
33.1°, rel. 246
40.4°, rel. 239

Structure:
```
Li8Mg5Tl
1.0
-4.171 4.171 4.285
4.171 -4.171 4.285
4.171 4.171 -4.285
Li Mg Tl
8 5 1
Direct
0.177 0.403 0.581 Li
0.332 0.230 0.235 Li
0.404 0.823 0.226 Li
0.597 0.178 0.774 Li
0.770 0.006 0.103 Li
0.822 0.596 0.419 Li
0.903 0.668 0.897 Li
0.994 0.097 0.765 Li
0.045 0.458 0.178 Mg
0.132 0.955 0.413 Mg
0.281 0.868 0.822 Mg
0.500 0.500 0.000 Mg
0.542 0.719 0.587 Mg
0.750 0.250 0.500 Tl
```